Diffraction record for LiCoSiO4. The X-ray diffraction stick pattern is calculated, not measured: it uses a structure optimized by DFT (GGA+U) and copper Kα.
No peak broadening, texture or thermal motion is included.

```
data_LiCoSiO4
_chemical_formula_sum 'Li8 Co8 Si8 O32'
_cell_length_a 10.2143
_cell_length_b 5.0921
_cell_length_c 13.3840
_cell_angle_alpha 90.00
_cell_angle_beta 90.00
_cell_angle_gamma 90.00
_space_group_name_H-M_alt 'P c a 21'
_space_group_IT_number 29
loop_
_space_group_symop_operation_xyz
'x,y,z'
'-x,-y,z+1/2'
'-x+1/2,y,z+1/2'
'x+1/2,-y,z'
loop_
_atom_site_label
_atom_site_fract_x
_atom_site_fract_y
_atom_site_fract_z
Li1 0.0337 0.0861 0.0000
Li2 0.2152 0.4425 0.2469
Co1 0.0393 0.9334 0.2499
Co2 0.2138 0.4440 0.4973
Si1 0.0339 0.5684 0.8722
Si2 0.2142 0.9464 0.6258
O1 0.0060 0.8868 0.8670
O2 0.0317 0.5714 0.2731
O3 0.0409 0.5506 0.4715
O4 0.0559 0.0054 0.6330
O5 0.1911 0.5026 0.8789
O6 0.2102 0.0558 0.2258
O7 0.2285 0.1031 0.0272
O8 0.2437 0.6300 0.6166
```

Main lines, by angle (2θ = 10–80°):
2theta	I (rel.)
21.9	100
26.5	9
31.9	9
35.1	14
35.3	16
41.8	13
44.3	6
54.9	7
61.0	8
67.8	7